Entry 1:
The following is a simulated X-ray diffraction stick pattern of NaSr3In2. It was derived from a cell relaxed with PBE, using a wavelength of 1.5418 Å.

The 10 most intense peaks (15 to 90 degrees two-theta), low angle first:
Position (°2θ)  intensity
29.7  1000
30.6  560
34.9  279
43.8  205
52.2  108
53.9  364
57.2  131
58.4  119
72.3  98
88.1  91

Atomic structure:
a b c (Å): 4.1309 4.1309 13.1451
angles (deg): 90.00 90.00 90.00
Space group P4/mmm (No. 123)
Inequivalent atoms, fractional coordinates:
1 Na 0.0000 0.0000 0.0000
2 Sr 0.5000 0.5000 0.2018
3 Sr 0.5000 0.5000 0.5000
4 In 0.0000 0.0000 0.3489



Entry 2:
The following is a simulated X-ray diffraction stick pattern of NaTaIn2. It was derived from a cell relaxed with PBE, using a wavelength of 1.5418 Å.

The 10 most intense peaks (15 to 90 degrees two-theta), low angle first:
Position (°2θ)  intensity
21.8  291
36.0  1000
42.5  158
51.9  174
56.9  69
64.8  351
69.2  52
76.4  108
80.6  52
87.5  156

Atomic structure:
a b c (Å): 7.0527 7.0527 7.0527
angles (deg): 90.00 90.00 90.00
Space group Fm-3m (No. 225)
Inequivalent atoms, fractional coordinates:
1 Na 0.0000 0.0000 0.0000
2 Ta 0.0000 0.0000 0.5000
3 In 0.2500 0.2500 0.2500



Entry 3:
The following is a simulated X-ray diffraction stick pattern of Na4Y3InTe8. It was derived from a cell relaxed with PBE, using a wavelength of 1.5418 Å.

The 10 most intense peaks (15 to 90 degrees two-theta), low angle first:
Position (°2θ)  intensity
24.6  161
28.1  1000
36.3  77
39.5  377
40.9  365
50.4  194
58.1  118
64.8  154
66.8  162
73.5  115

Atomic structure:
a b c (Å): 8.8259 8.8259 22.7787
angles (deg): 90.00 90.00 120.00
Space group R-3m (No. 166, hexagonal axes)
Inequivalent atoms, fractional coordinates:
1 Na 0.0000 0.0000 0.0000
2 Na 0.0000 0.5000 0.0000
3 Y 0.0000 0.5000 0.5000
4 In 0.0000 0.0000 0.5000
5 Te 0.0000 0.0000 0.2441
6 Te 0.0044 0.5022 0.2433



Entry 4:
The following is a simulated X-ray diffraction stick pattern of NaThIn6. It was derived from a cell relaxed with PBE, using a wavelength of 1.5418 Å.

The 10 most intense peaks (15 to 90 degrees two-theta), low angle first:
Position (°2θ)  intensity
23.0  115
29.8  61
32.8  1000
35.5  63
38.0  500
49.1  43
54.9  338
65.4  262
65.5  131
68.7  113

Atomic structure:
a b c (Å): 6.6951 6.6951 4.7225
angles (deg): 90.00 90.00 90.00
Space group P4/mmm (No. 123)
Inequivalent atoms, fractional coordinates:
1 Na 0.0000 0.0000 0.0000
2 Th 0.5000 0.5000 0.0000
3 In 0.0000 0.5000 0.0000
4 In 0.2464 0.2464 0.5000



Entry 5:
The following is a simulated X-ray diffraction stick pattern of NaTiIn2. It was derived from a cell relaxed with PBE, using a wavelength of 1.5418 Å.

The 10 most intense peaks (15 to 90 degrees two-theta), low angle first:
Position (°2θ)  intensity
19.3  269
28.6  257
34.8  1000
39.2  128
40.9  348
41.3  149
45.6  119
58.0  154
59.2  111
70.6  231

Atomic structure:
a b c (Å): 3.1193 3.1193 9.1844
angles (deg): 90.00 90.00 90.00
Space group P4/mmm (No. 123)
Inequivalent atoms, fractional coordinates:
1 Na 0.0000 0.0000 0.0000
2 Ti 0.0000 0.0000 0.5000
3 In 0.5000 0.5000 0.2788



Entry 6:
The following is a simulated X-ray diffraction stick pattern of NaTl4In4. It was derived from a cell relaxed with PBE, using a wavelength of 1.5418 Å.

The 10 most intense peaks (15 to 90 degrees two-theta), low angle first:
Position (°2θ)  intensity
21.1  121
32.1  1000
36.1  361
39.2  146
52.0  126
54.4  223
62.4  289
66.6  122
67.0  117
89.3  113

Atomic structure:
a b c (Å): 10.5427 10.5427 4.5980
angles (deg): 90.00 90.00 90.00
Space group I4/m (No. 87)
Inequivalent atoms, fractional coordinates:
1 Na 0.0000 0.0000 0.0000
2 Tl 0.1658 0.8333 0.5000
3 In 0.0007 0.3419 0.0000



Entry 7:
The following is a simulated X-ray diffraction stick pattern of Na2Tl5In2. It was derived from a cell relaxed with PBE, using a wavelength of 1.5418 Å.

The 10 most intense peaks (15 to 90 degrees two-theta), low angle first:
Position (°2θ)  intensity
19.3  132
25.2  212
32.8  1000
35.1  209
35.7  200
42.8  118
50.9  151
61.5  165
62.3  159
68.7  117

Atomic structure:
a b c (Å): 5.0329 21.1350 5.1081
angles (deg): 90.00 90.00 90.00
Space group Cmmm (No. 65)
Inequivalent atoms, fractional coordinates:
1 Na 0.0000 0.1978 0.0000
2 Tl 0.0000 0.0000 0.0000
3 Tl 0.0000 0.0963 0.5000
4 Tl 0.0000 0.4011 0.0000
5 In 0.0000 0.2973 0.5000



Entry 8:
The following is a simulated X-ray diffraction stick pattern of Na2Tl2In3. It was derived from a cell relaxed with PBE, using a wavelength of 1.5418 Å.

The 10 most intense peaks (15 to 90 degrees two-theta), low angle first:
Position (°2θ)  intensity
17.4  651
26.1  1000
31.5  490
33.0  686
33.3  667
34.3  643
35.8  267
42.5  581
42.8  512
43.6  510

Atomic structure:
a b c (Å): 5.2328 3.4180 11.3279
angles (deg): 90.00 102.77 90.00
Space group P2/m (No. 10)
Inequivalent atoms, fractional coordinates:
1 Na 0.1421 0.0000 0.2869
2 Tl 0.4240 0.5000 0.8457
3 In 0.0000 0.5000 0.0000
4 In 0.2812 0.5000 0.5638



What did the seventh record say?
The following is a simulated X-ray diffraction stick pattern of Na2Tl5In2. It was derived from a cell relaxed with PBE, using a wavelength of 1.5418 Å.

The 10 most intense peaks (15 to 90 degrees two-theta), low angle first:
Position (°2θ)  intensity
19.3  132
25.2  212
32.8  1000
35.1  209
35.7  200
42.8  118
50.9  151
61.5  165
62.3  159
68.7  117

Atomic structure:
a b c (Å): 5.0329 21.1350 5.1081
angles (deg): 90.00 90.00 90.00
Space group Cmmm (No. 65)
Inequivalent atoms, fractional coordinates:
1 Na 0.0000 0.1978 0.0000
2 Tl 0.0000 0.0000 0.0000
3 Tl 0.0000 0.0963 0.5000
4 Tl 0.0000 0.4011 0.0000
5 In 0.0000 0.2973 0.5000



Copy entry 2 word for word.
The following is a simulated X-ray diffraction stick pattern of NaTaIn2. It was derived from a cell relaxed with PBE, using a wavelength of 1.5418 Å.

The 10 most intense peaks (15 to 90 degrees two-theta), low angle first:
Position (°2θ)  intensity
21.8  291
36.0  1000
42.5  158
51.9  174
56.9  69
64.8  351
69.2  52
76.4  108
80.6  52
87.5  156

Atomic structure:
a b c (Å): 7.0527 7.0527 7.0527
angles (deg): 90.00 90.00 90.00
Space group Fm-3m (No. 225)
Inequivalent atoms, fractional coordinates:
1 Na 0.0000 0.0000 0.0000
2 Ta 0.0000 0.0000 0.5000
3 In 0.2500 0.2500 0.2500